(1)
Diffraction record for Ce3Ir. The XRD peak list is theoretical, not measured: it uses a GGA-PBE-relaxed structure and a wavelength of 1.5418 Å.
Neutral-atom scattering factors, no anomalous dispersion.

Cell and atoms:
```
Ce3Ir
1.0
7.080 0.000 0.000
0.000 9.810 0.000
0.000 0.000 6.169
Ce Ir
12 4
direct
0.034 0.250 0.145
0.171 0.057 0.653
0.171 0.443 0.653
0.329 0.557 0.153
0.329 0.943 0.153
0.466 0.750 0.645
0.534 0.250 0.355
0.671 0.057 0.847
0.671 0.443 0.847
0.829 0.557 0.347
0.829 0.943 0.347
0.966 0.750 0.855
0.124 0.750 0.411
0.376 0.250 0.911
0.624 0.750 0.089
0.876 0.250 0.589
```

Principal peaks in the range 5 to 70 degrees two-theta, in order of rising 2θ:
19.08 deg, d = 4.651 Å, I 25; 21.14 deg, d = 4.203 Å, I 22; 30.51 deg, d = 2.930 Å, I 28; 30.95 deg, d = 2.889 Å, I 30; 31.16 deg, d = 2.871 Å, I 39; 32.97 deg, d = 2.717 Å, I 100; 33.50 deg, d = 2.675 Å, I 70; 34.46 deg, d = 2.603 Å, I 85; 36.67 deg, d = 2.451 Å, I 88; 37.44 deg, d = 2.402 Å, I 45; 40.94 deg, d = 2.204 Å, I 36; 57.14 deg, d = 1.612 Å, I 33

=====

(2)
Diffraction record for LiH4SeNO4. The XRD peak list is theoretical, not measured: it uses a GGA-PBE-relaxed structure and a wavelength of 1.5418 Å.
Neutral-atom scattering factors, no anomalous dispersion.

Cell and atoms:
```
LiH4SeNO4
1.0
17.519 0.000 0.000
0.000 5.431 0.000
0.000 0.000 5.178
Li H Se N O
4 16 4 4 16
direct
0.001 0.187 0.000
0.499 0.687 0.500
0.501 0.313 0.000
0.999 0.813 0.500
0.139 0.289 0.320
0.142 0.269 0.645
0.150 0.012 0.457
0.223 0.221 0.464
0.277 0.721 0.964
0.350 0.512 0.957
0.358 0.769 0.145
0.361 0.789 0.820
0.639 0.211 0.320
0.642 0.231 0.645
0.650 0.488 0.457
0.723 0.279 0.464
0.777 0.779 0.964
0.850 0.988 0.957
0.858 0.731 0.145
0.861 0.711 0.820
0.102 0.696 0.007
0.398 0.196 0.507
0.602 0.804 0.007
0.898 0.304 0.507
0.164 0.197 0.473
0.336 0.697 0.973
0.664 0.303 0.473
0.836 0.803 0.973
0.028 0.847 0.870
0.094 0.391 0.948
0.096 0.734 0.328
0.184 0.804 0.896
0.316 0.304 0.396
0.404 0.234 0.828
0.406 0.891 0.448
0.472 0.347 0.370
0.528 0.653 0.870
0.594 0.109 0.948
0.596 0.766 0.328
0.684 0.696 0.896
0.816 0.196 0.396
0.904 0.266 0.828
0.906 0.609 0.448
0.972 0.153 0.370
```

Principal peaks in the range 5 to 70 degrees two-theta, in order of rising 2θ:
10.10 deg, d = 8.759 Å, I 46; 19.23 deg, d = 4.616 Å, I 100; 19.92 deg, d = 4.458 Å, I 99; 20.28 deg, d = 4.380 Å, I 55; 23.74 deg, d = 3.748 Å, I 83; 26.14 deg, d = 3.409 Å, I 21; 26.66 deg, d = 3.344 Å, I 26; 30.36 deg, d = 2.944 Å, I 17; 31.42 deg, d = 2.847 Å, I 34; 32.99 deg, d = 2.715 Å, I 26; 34.64 deg, d = 2.589 Å, I 27; 39.06 deg, d = 2.306 Å, I 17

=====

(3)
Diffraction record for KNaMg2Si4O10F2. The XRD peak list is theoretical, not measured: it uses a GGA-PBE-relaxed structure and a wavelength of 1.5418 Å.
Neutral-atom scattering factors, no anomalous dispersion.

Cell and atoms:
```
KNaMg2Si4O10F2
1.0
2.675 -4.586 0.000
2.675 4.586 0.000
-2.053 0.000 10.225
K Na Mg Si O F
1 1 2 4 10 2
direct
0.000 0.000 0.000
0.500 0.500 0.500
0.166 0.834 0.500
0.834 0.166 0.500
0.249 0.589 0.773
0.411 0.751 0.227
0.589 0.249 0.773
0.751 0.411 0.227
0.056 0.561 0.161
0.178 0.541 0.617
0.439 0.944 0.839
0.448 0.448 0.829
0.459 0.822 0.383
0.541 0.178 0.617
0.552 0.552 0.171
0.561 0.056 0.161
0.822 0.459 0.383
0.944 0.439 0.839
0.095 0.095 0.393
0.905 0.905 0.607
```

Principal peaks in the range 5 to 70 degrees two-theta, in order of rising 2θ:
8.65 deg, d = 10.225 Å, I 69; 23.84 deg, d = 3.732 Å, I 53; 26.12 deg, d = 3.412 Å, I 100; 28.39 deg, d = 3.144 Å, I 63; 29.94 deg, d = 2.984 Å, I 49; 33.94 deg, d = 2.642 Å, I 25; 34.20 deg, d = 2.622 Å, I 79; 36.71 deg, d = 2.448 Å, I 48; 37.02 deg, d = 2.428 Å, I 30; 41.10 deg, d = 2.196 Å, I 30; 53.91 deg, d = 1.701 Å, I 33; 60.07 deg, d = 1.540 Å, I 36

=====

(4)
Diffraction record for ScC. The XRD peak list is theoretical, not measured: it uses a GGA-PBE-relaxed structure and a wavelength of 1.5418 Å.
Neutral-atom scattering factors, no anomalous dispersion.

Cell and atoms:
```
ScC
1.0
3.217 0.000 0.000
-1.608 2.786 0.000
0.000 0.000 5.955
Sc C
2 2
direct
0.000 0.000 0.000
0.000 0.000 0.500
0.333 0.667 0.250
0.667 0.333 0.750
```

Principal peaks in the range 5 to 70 degrees two-theta, in order of rising 2θ:
30.01 deg, d = 2.977 Å, I 25; 32.13 deg, d = 2.786 Å, I 84; 35.58 deg, d = 2.523 Å, I 7; 44.54 deg, d = 2.034 Å, I 100; 56.97 deg, d = 1.617 Å, I 1; 57.28 deg, d = 1.608 Å, I 26; 62.38 deg, d = 1.489 Å, I 6; 66.02 deg, d = 1.415 Å, I 15; 67.21 deg, d = 1.393 Å, I 9; 69.27 deg, d = 1.356 Å, I 1